Starting from a GGA-PBE-relaxed structure, the powder diffractogram of TlAs2Rh was calculated for Cu Kα (λ = 1.5418 Å).
Neutral-atom scattering factors, no anomalous dispersion.

The 10 most intense peaks (2θ = 15–90°), in order of rising 2θ:
| d_spacing | I (rel.) |
| --- | --- |
| 3.451 | 100 |
| 3.240 | 7 |
| 3.057 | 10 |
| 2.659 | 12 |
| 2.161 | 20 |
| 2.090 | 41 |
| 1.832 | 30 |
| 1.747 | 14 |
| 1.359 | 11 |
| 1.234 | 9 |

Cell and atoms:
a b c (Å): 7.1779 7.1779 7.1779
angles (deg): 129.59 129.59 74.06
Element x y z (fractional)
Tl: 0.0000 0.0000 0.0000
Tl: 0.7500 0.2500 0.5000
As: 0.1958 0.6250 0.0708
As: 0.3750 0.4458 0.5708
As: 0.5542 0.1250 0.9292
As: 0.8750 0.8042 0.4292
Rh: 0.2500 0.7500 0.5000
Rh: 0.5000 0.5000 0.0000